For Li6FeNi9O20, a GGA+U-relaxed structure gives the calculated X-ray diffraction stick pattern in this record (λ = 1.5418 Å (Cu Kα)).

Largest 8 diffraction maxima, low angle first, 10 to 90 degrees two-theta:
2theta, I_rel
18.17, 100
36.06, 14
36.87, 15
37.06, 11
43.44, 19
44.20, 17
44.46, 17
48.19, 8

Cell and atoms:
```
Li6FeNi9O20
1.0
6.5449 0.0000 0.0000
0.1640 7.5916 0.0000
0.3529 3.0894 7.0125
Li Fe Ni O
6 1 9 20
direct
0.0000 0.0000 0.0000 Li
0.1983 0.7772 0.7976 Li
0.2976 0.2348 0.7002 Li
0.5000 0.0000 0.5000 Li
0.7024 0.7652 0.2998 Li
0.8017 0.2228 0.2024 Li
0.5000 0.5000 0.0000 Fe
0.0000 0.5000 0.5000 Ni
0.0976 0.9028 0.3988 Ni
0.1942 0.2978 0.3009 Ni
0.2973 0.7037 0.2010 Ni
0.3976 0.0996 0.0983 Ni
0.6024 0.9004 0.9017 Ni
0.7027 0.2963 0.7990 Ni
0.8058 0.7022 0.6991 Ni
0.9024 0.0972 0.6012 Ni
0.0246 0.7620 0.2598 O
0.0795 0.6721 0.6183 O
0.1102 0.1360 0.1790 O
0.1734 0.0394 0.5455 O
0.2313 0.5580 0.0566 O
0.2648 0.4429 0.4365 O
0.3175 0.9653 0.9544 O
0.3705 0.8651 0.3289 O
0.4294 0.3325 0.8706 O
0.4741 0.2428 0.2362 O
0.5259 0.7572 0.7638 O
0.5706 0.6675 0.1294 O
0.6295 0.1349 0.6711 O
0.6825 0.0347 0.0456 O
0.7352 0.5571 0.5635 O
0.7687 0.4420 0.9434 O
0.8266 0.9606 0.4545 O
0.8898 0.8640 0.8210 O
0.9205 0.3279 0.3817 O
0.9754 0.2380 0.7402 O
```